1.
Starting from a structure optimized by DFT (PBE), the powder X-ray diffraction pattern of Sr4Se3S was computed for a wavelength of 1.5418 Å.

Principal peaks in the range 2θ from 5° to 70°, most intense first:
- 28.6 deg, I 100
- 40.9 deg, I 74
- 67.0 deg, I 33
- 50.6 deg, I 26
- 59.2 deg, I 12
- 24.7 deg, I 3
- 48.3 deg, I 2
- 15.9 deg, I 1
- 23.6 deg, I 1
- 25.7 deg, I 1

Cell and atoms:
```
data_Sr4Se3S
_chemical_formula_sum 'Sr8 Se6 S2'
_cell_length_a 7.6481
_cell_length_b 8.8327
_cell_length_c 7.6452
_cell_angle_alpha 90.00
_cell_angle_beta 109.48
_cell_angle_gamma 90.00
_space_group_name_H-M_alt 'P 1'
_space_group_IT_number 1
_space_group_name_Hall 'P 1'
loop_
_atom_site_label
_atom_site_type_symbol
_atom_site_fract_x
_atom_site_fract_y
_atom_site_fract_z
Sr1 Sr 0.2430 0.1212 0.0014
Sr2 Sr 0.2430 0.8788 0.5014
Sr3 Sr 0.2483 0.3712 0.4957
Sr4 Sr 0.2483 0.6288 0.9957
Sr5 Sr 0.7517 0.3712 0.0043
Sr6 Sr 0.7517 0.6288 0.5043
Sr7 Sr 0.7570 0.1212 0.4986
Sr8 Sr 0.7570 0.8788 0.9986
Se1 Se 0.0000 0.3741 0.7500
Se2 Se 0.0000 0.6259 0.2500
Se3 Se 0.5000 0.1243 0.7500
Se4 Se 0.5000 0.3741 0.2500
Se5 Se 0.5000 0.6259 0.7500
Se6 Se 0.5000 0.8757 0.2500
S1 S 0.0000 0.1237 0.2500
S2 S 0.0000 0.8763 0.7500
```

2.
Starting from a structure optimized by DFT (PBE), the powder X-ray diffraction pattern of Ti12Ga3Bi was computed for a wavelength of 1.5418 Å.

Principal peaks in the range 2θ from 5° to 70°, most intense first:
- 43.2 deg, I 100
- 39.2 deg, I 36
- 24.5 deg, I 32
- 34.9 deg, I 31
- 68.3 deg, I 25
- 68.4 deg, I 24
- 39.3 deg, I 18
- 35.0 deg, I 15
- 8.6 deg, I 12
- 17.3 deg, I 10

Cell and atoms:
```
data_Ti12Ga3Bi
_chemical_formula_sum 'Ti12 Ga3 Bi1'
_cell_length_a 5.1254
_cell_length_b 5.1338
_cell_length_c 10.2916
_cell_angle_alpha 90.00
_cell_angle_beta 90.00
_cell_angle_gamma 90.00
_space_group_name_H-M_alt 'P 1'
_space_group_IT_number 1
_space_group_name_Hall 'P 1'
loop_
_atom_site_label
_atom_site_type_symbol
_atom_site_fract_x
_atom_site_fract_y
_atom_site_fract_z
Ti1 Ti 0.0000 0.0000 0.1204
Ti2 Ti 0.0000 0.0000 0.3656
Ti3 Ti 0.0000 0.0000 0.6344
Ti4 Ti 0.0000 0.0000 0.8796
Ti5 Ti 0.2388 0.5000 0.5000
Ti6 Ti 0.2510 0.5000 0.0000
Ti7 Ti 0.5000 0.2531 0.2408
Ti8 Ti 0.5000 0.2531 0.7592
Ti9 Ti 0.5000 0.7469 0.2408
Ti10 Ti 0.5000 0.7469 0.7592
Ti11 Ti 0.7490 0.5000 0.0000
Ti12 Ti 0.7612 0.5000 0.5000
Ga1 Ga 0.0000 0.5000 0.2506
Ga2 Ga 0.0000 0.5000 0.7494
Ga3 Ga 0.5000 0.0000 0.0000
Bi1 Bi 0.5000 0.0000 0.5000
```

3.
Starting from a structure optimized by DFT (PBE), the powder X-ray diffraction pattern of Ac2LaPm2Er was computed for a wavelength of 1.5418 Å.

Principal peaks in the range 2θ from 5° to 70°, most intense first:
- 30.1 deg, I 100
- 29.8 deg, I 93
- 53.3 deg, I 37
- 42.9 deg, I 35
- 58.9 deg, I 30
- 53.4 deg, I 20
- 62.6 deg, I 12
- 38.9 deg, I 10
- 49.4 deg, I 9
- 24.1 deg, I 6

Cell and atoms:
```
data_Ac2LaPm2Er
_chemical_formula_sum 'Ac4 La2 Pm4 Er2'
_cell_length_a 5.9392
_cell_length_b 10.2862
_cell_length_c 7.3799
_cell_angle_alpha 90.00
_cell_angle_beta 90.00
_cell_angle_gamma 90.00
_space_group_name_H-M_alt 'P 1'
_space_group_IT_number 1
_space_group_name_Hall 'P 1'
loop_
_atom_site_label
_atom_site_type_symbol
_atom_site_fract_x
_atom_site_fract_y
_atom_site_fract_z
Ac1 Ac 0.0000 0.0005 0.0000
Ac2 Ac 0.0000 0.9995 0.5000
Ac3 Ac 0.5000 0.1722 0.2504
Ac4 Ac 0.5000 0.8278 0.7504
La1 La 0.5000 0.4996 0.9995
La2 La 0.5000 0.5004 0.4995
Pm1 Pm 0.0000 0.3419 0.2497
Pm2 Pm 0.0000 0.6581 0.7497
Pm3 Pm 0.5000 0.1735 0.7499
Pm4 Pm 0.5000 0.8265 0.2499
Er1 Er 0.0000 0.3353 0.7493
Er2 Er 0.0000 0.6647 0.2493
```

4.
Starting from a structure optimized by DFT (PBE), the powder X-ray diffraction pattern of Al2PtAu was computed for a wavelength of 1.5418 Å.

Principal peaks in the range 2θ from 5° to 70°, most intense first:
- 37.5 deg, I 100
- 43.0 deg, I 78
- 29.1 deg, I 73
- 25.4 deg, I 72
- 32.5 deg, I 47
- 42.4 deg, I 46
- 41.0 deg, I 45
- 50.0 deg, I 31
- 66.5 deg, I 26
- 20.8 deg, I 21

Cell and atoms:
```
data_Al2PtAu
_chemical_formula_sum 'Al2 Pt1 Au1'
_cell_length_a 4.8191
_cell_length_b 4.8191
_cell_length_c 4.3919
_cell_angle_alpha 102.94
_cell_angle_beta 102.94
_cell_angle_gamma 39.68
_space_group_name_H-M_alt 'P 1'
_space_group_IT_number 1
_space_group_name_Hall 'P 1'
loop_
_atom_site_label
_atom_site_type_symbol
_atom_site_fract_x
_atom_site_fract_y
_atom_site_fract_z
Al1 Al 0.0000 0.0000 0.0000
Al2 Al 0.2416 0.2416 0.6502
Pt1 Pt 0.5093 0.5093 0.5274
Au1 Au 0.7438 0.7438 0.1554
```